Computed powder XRD pattern of YTmV2O8 for CuKα, from a cell relaxed with PBE+U.

Atomic structure:
Cell lengths 7.1723, 7.1723, 6.3323 Å; angles 90.00, 90.00, 90.00 degrees
Space group I-4m2 (No. 119)
Inequivalent atoms, fractional coordinates:
1 Y 0.0000 0.0000 0.0000 [2 per cell]
2 Tm 0.0000 0.5000 0.7500 [2 per cell]
3 V 0.0000 0.0000 0.5000 [2 per cell]
4 V 0.0000 0.5000 0.2500 [2 per cell]
5 O 0.0000 0.1873 0.6747 [8 per cell]
6 O 0.0000 0.3159 0.0717 [8 per cell]

Top 10 peaks for 2θ = 10–90°, by angle:
(hkl), 2θ/deg, Rel. int.
1 0 1, 18.69, 37
2 0 0, 24.83, 100
1 1 2, 33.36, 68
2 2 0, 35.40, 19
3 0 1, 40.32, 15
3 1 2, 49.43, 58
4 0 0, 50.93, 16
4 2 0, 57.46, 13
3 3 2, 62.26, 17
2 2 4, 70.08, 13